Rb2AcFe2O7: computed PXRD pattern (a wavelength of 1.5418 Å), based on a PBE+U-relaxed structure.
No peak broadening, texture or thermal motion is included.

Principal peaks in the range 2θ from 10° to 90°, by intensity:
30.21°, intensity 100.0, hkl 1 0 5
31.58°, intensity 52.6, hkl 1 1 0
55.39°, intensity 36.7, hkl 2 1 5
45.27°, intensity 30.0, hkl 2 0 0
40.28°, intensity 26.3, hkl 1 1 6
22.56°, intensity 22.1, hkl 1 0 1

Cell and atoms:
```
data_Rb2AcFe2O7
_chemical_formula_sum 'Rb4 Ac2 Fe4 O14'
_cell_length_a 4.0065
_cell_length_b 4.0065
_cell_length_c 21.9333
_cell_angle_alpha 90.00
_cell_angle_beta 90.00
_cell_angle_gamma 90.00
_space_group_name_H-M_alt 'I 4/m m m'
_space_group_IT_number 139
_space_group_name_Hall '-I 4 2'
loop_
_atom_site_label
_atom_site_type_symbol
_atom_site_fract_x
_atom_site_fract_y
_atom_site_fract_z
Rb1 Rb 0.0000 0.0000 0.1873
Ac1 Ac 0.0000 0.0000 0.0000
Fe1 Fe 0.0000 0.0000 0.4068
O1 O 0.0000 0.0000 0.3266
O2 O 0.0000 0.0000 0.5000
O3 O 0.0000 0.5000 0.0813
```